Entry 1:
For CrCo5, a DFT-relaxed cell (PBE, Alexandria) gives the theoretical X-ray diffraction stick pattern in this record (Cu Kα, 1.54184 Å).
Lines closer than 0.1° are merged.

Main lines, low angle first (2θ from 5° to 70°):
Position (°2θ), I_rel, hkl
41.71, 25, 0 1 3
45.44, 26, 2 0 0
47.79, 100, 1 0 6
63.38, 13, 2 1 3

Atomic structure:
a b c (Å): 3.992 2.502 12.983
angles (deg): 90.00 90.00 90.00
Space group Amm2 (No. 38)
Unique sites:
Cr (0.000, 0.000, 0.000) x2
Co (0.000, 0.000, 0.334) x2
Co (0.000, 0.000, 0.668) x2
Co (0.500, 0.000, 0.223) x2
Co (0.500, 0.000, 0.557) x2
Co (0.500, 0.000, 0.890) x2

=====

Entry 2:
For LaDyTh2S4, a DFT-relaxed cell (PBE, Alexandria) gives the theoretical X-ray diffraction stick pattern in this record (Cu Kα, 1.54184 Å).
Lines closer than 0.1° are merged.

Main lines, low angle first (2θ from 5° to 70°):
Position (°2θ), I_rel, hkl
26.78, 24, 0 0 2
27.10, 46, 1 1 -1
27.23, 23, 2 0 0
31.34, 100, 1 1 1
44.64, 25, 1 1 -3
44.76, 12, 2 0 2
45.00, 12, 0 2 0
45.22, 24, 3 1 -1
53.36, 23, 3 1 1
55.89, 13, 2 2 -2

Atomic structure:
a b c (Å): 6.935 4.029 7.051
angles (deg): 90.00 109.22 90.00
Space group P2/m (No. 10)
Unique sites:
La (0.000, 0.000, 0.000) x1
Dy (0.500, 0.500, 0.000) x1
Th (0.000, 0.500, 0.500) x1
Th (0.500, 0.000, 0.500) x1
S (0.259, 0.500, 0.248) x2
S (0.262, 0.000, 0.758) x2

=====

Entry 3:
For Pm2Nd2Sm2In, a DFT-relaxed cell (PBE, Alexandria) gives the theoretical X-ray diffraction stick pattern in this record (Cu Kα, 1.54184 Å).
Lines closer than 0.1° are merged.

Main lines, low angle first (2θ from 5° to 70°):
Position (°2θ), I_rel, hkl
27.34, 37, 1 1 -1
30.73, 100, 6 0 -1
33.11, 33, 4 0 -3
33.87, 64, 3 1 -2
35.48, 48, 3 1 1
38.20, 21, 5 1 0
53.57, 22, 1 1 -4
55.55, 17, 9 1 -3
61.19, 28, 6 2 -1
62.63, 24, 5 1 3

Atomic structure:
a b c (Å): 17.546 3.548 8.297
angles (deg): 90.00 116.11 90.00
Space group C2/m (No. 12)
Unique sites:
Pm (0.066, 0.000, 0.384) x4
Nd (0.141, 0.000, 0.895) x4
Sm (0.222, 0.500, 0.303) x4
In (0.000, 0.500, 0.000) x2

=====

Entry 4:
For CsZn3Sb3, a DFT-relaxed cell (PBE, Alexandria) gives the theoretical X-ray diffraction stick pattern in this record (Cu Kα, 1.54184 Å).
Lines closer than 0.1° are merged.

Main lines, low angle first (2θ from 5° to 70°):
Position (°2θ), I_rel, hkl
8.84, 48, 0 0 3
25.92, 100, 2 -1 3
26.74, 19, 0 0 9
30.26, 24, 1 1 6
36.45, 41, 2 -1 9
42.78, 51, 3 0 0
43.84, 53, 2 -1 12
50.70, 16, 2 2 3
51.17, 19, 3 0 9
62.93, 16, 2 2 12

Atomic structure:
a b c (Å): 7.3215 7.3215 30.0071
angles (deg): 90.00 90.00 120.00
Space group R-3 (No. 148, hexagonal axes)
Unique sites:
Cs (0.0000, 0.0000, 0.1667) x6
Zn (0.0011, 0.3392, 0.3583) x18
Sb (0.0003, 0.3269, 0.6008) x18